This entry pairs a crystal structure of AlH12 with its calculated powder diffraction line list. Radiation: Cu Kα X-rays. Structure: a cell relaxed with GGA-PBE.
Lines closer than 0.1° are merged.

Principal peaks in the range 10 to 90 degrees two-theta, in order of falling intensity:
| Position (°2θ) | I_rel |
| --- | --- |
| 23.29 | 100.0 |
| 27.38 | 93.6 |
| 14.20 | 80.6 |
| 36.24 | 67.0 |
| 33.17 | 50.5 |
| 40.92 | 36.5 |

Cell lengths 7.640, 7.640, 7.640 Å; angles 60.00, 60.00, 60.00 degrees
Element x y z (fractional)
Al 0.125 0.125 0.125
Al 0.875 0.875 0.875
H 0.182 0.182 0.519
H 0.182 0.182 0.617
H 0.182 0.519 0.182
H 0.182 0.519 0.617
H 0.182 0.617 0.182
H 0.182 0.617 0.519
H 0.383 0.481 0.818
H 0.383 0.818 0.481
H 0.383 0.818 0.818
H 0.481 0.383 0.818
H 0.481 0.818 0.383
H 0.481 0.818 0.818
H 0.519 0.182 0.182
H 0.519 0.182 0.617
H 0.519 0.617 0.182
H 0.617 0.182 0.182
H 0.617 0.182 0.519
H 0.617 0.519 0.182
H 0.818 0.383 0.481
H 0.818 0.383 0.818
H 0.818 0.481 0.383
H 0.818 0.481 0.818
H 0.818 0.818 0.383
H 0.818 0.818 0.481



This entry pairs a crystal structure of Al3H with its calculated powder diffraction line list. Radiation: Cu Kα X-rays. Structure: a cell relaxed with GGA-PBE.
Lines closer than 0.1° are merged.

Principal peaks in the range 10 to 90 degrees two-theta, in order of falling intensity:
| Position (°2θ) | I_rel |
| --- | --- |
| 41.39 | 100.0 |
| 75.49 | 32.6 |
| 25.00 | 25.9 |
| 59.98 | 16.2 |
| 28.94 | 13.2 |
| 48.97 | 12.1 |

Cell lengths 6.170, 6.170, 6.170 Å; angles 90.00, 90.00, 90.00 degrees
Element x y z (fractional)
Al 0.000 0.000 0.000
Al 0.000 0.500 0.500
Al 0.250 0.250 0.250
Al 0.250 0.250 0.750
Al 0.250 0.750 0.250
Al 0.250 0.750 0.750
Al 0.500 0.000 0.500
Al 0.500 0.500 0.000
Al 0.750 0.250 0.250
Al 0.750 0.250 0.750
Al 0.750 0.750 0.250
Al 0.750 0.750 0.750
H 0.000 0.000 0.500
H 0.000 0.500 0.000
H 0.500 0.000 0.000
H 0.500 0.500 0.500



This entry pairs a crystal structure of AlH3 with its calculated powder diffraction line list. Radiation: Cu Kα X-rays. Structure: a cell relaxed with GGA-PBE.
Lines closer than 0.1° are merged.

Principal peaks in the range 10 to 90 degrees two-theta, in order of falling intensity:
| Position (°2θ) | I_rel |
| --- | --- |
| 27.53 | 100.0 |
| 38.27 | 36.3 |
| 40.37 | 28.1 |
| 62.82 | 18.4 |
| 49.56 | 16.3 |
| 65.76 | 14.9 |

Cell lengths 4.716, 4.716, 4.716 Å; angles 56.56, 56.56, 56.56 degrees
Element x y z (fractional)
Al 0.000 0.000 0.000
Al 0.500 0.500 0.500
H 0.121 0.750 0.379
H 0.250 0.621 0.879
H 0.379 0.121 0.750
H 0.621 0.879 0.250
H 0.750 0.379 0.121
H 0.879 0.250 0.621



This entry pairs a crystal structure of AlH3 with its calculated powder diffraction line list. Radiation: Cu Kα X-rays. Structure: a cell relaxed with GGA-PBE.
Lines closer than 0.1° are merged.

Principal peaks in the range 10 to 90 degrees two-theta, in order of falling intensity:
| Position (°2θ) | I_rel |
| --- | --- |
| 20.22 | 100.0 |
| 38.46 | 87.0 |
| 30.88 | 68.1 |
| 24.02 | 58.7 |
| 29.14 | 51.8 |
| 25.45 | 48.0 |

Cell lengths 5.453, 7.410, 5.791 Å; angles 90.00, 90.00, 90.00 degrees
Element x y z (fractional)
Al 0.000 0.000 0.000
Al 0.212 0.085 0.500
Al 0.288 0.585 0.000
Al 0.500 0.500 0.500
Al 0.712 0.415 0.000
Al 0.788 0.915 0.500
H 0.000 0.500 0.000
H 0.097 0.861 0.500
H 0.173 0.799 0.000
H 0.203 0.082 0.201
H 0.203 0.082 0.799
H 0.297 0.582 0.299
H 0.297 0.582 0.701
H 0.327 0.299 0.500
H 0.403 0.361 0.000
H 0.500 0.000 0.500
H 0.597 0.639 0.000
H 0.673 0.701 0.500
H 0.703 0.418 0.299
H 0.703 0.418 0.701
H 0.797 0.918 0.201
H 0.797 0.918 0.799
H 0.827 0.201 0.000
H 0.903 0.139 0.500



Copy entry 3 word for word.
This entry pairs a crystal structure of AlH3 with its calculated powder diffraction line list. Radiation: Cu Kα X-rays. Structure: a cell relaxed with GGA-PBE.
Lines closer than 0.1° are merged.

Principal peaks in the range 10 to 90 degrees two-theta, in order of falling intensity:
| Position (°2θ) | I_rel |
| --- | --- |
| 27.53 | 100.0 |
| 38.27 | 36.3 |
| 40.37 | 28.1 |
| 62.82 | 18.4 |
| 49.56 | 16.3 |
| 65.76 | 14.9 |

Cell lengths 4.716, 4.716, 4.716 Å; angles 56.56, 56.56, 56.56 degrees
Element x y z (fractional)
Al 0.000 0.000 0.000
Al 0.500 0.500 0.500
H 0.121 0.750 0.379
H 0.250 0.621 0.879
H 0.379 0.121 0.750
H 0.621 0.879 0.250
H 0.750 0.379 0.121
H 0.879 0.250 0.621